No. 1
Simulated XRD peak list of Fe3S4 for λ = 1.5418 Å (Cu Kα), from the PBE geometry in the Materials Project.
Peak positions follow from Bragg's law for the DFT cell and can differ from measured ones.

Main lines, low angle first (10 to 90 degrees two-theta):
- 2θ = 15.77°, d = 5.620 Å, I 50.9
- 2θ = 31.18°, d = 2.869 Å, I 86.0
- 2θ = 31.52°, d = 2.838 Å, I 16.8
- 2θ = 36.35°, d = 2.471 Å, I 100.0
- 2θ = 43.10°, d = 2.099 Å, I 33.2
- 2θ = 47.16°, d = 1.927 Å, I 88.4
- 2θ = 49.33°, d = 1.847 Å, I 78.3
- 2θ = 55.26°, d = 1.662 Å, I 83.5
- 2θ = 75.54°, d = 1.259 Å, I 19.5
- 2θ = 77.20°, d = 1.236 Å, I 18.9

Structural model:
a b c (Å): 11.4032 11.4032 11.4032
angles (deg): 16.76 16.76 16.76
Element x y z (fractional)
Fe1 0.0000 0.0000 0.0000
Fe2 0.0773 0.0773 0.0773
Fe3 0.9227 0.9227 0.9227
S1 0.2215 0.2215 0.2215
S2 0.3690 0.3690 0.3690
S3 0.6310 0.6310 0.6310
S4 0.7785 0.7785 0.7785

---

No. 2
Simulated XRD peak list of FeS for λ = 1.5418 Å (Cu Kα), from the PBE geometry in the Materials Project.
Peak positions follow from Bragg's law for the DFT cell and can differ from measured ones.

Main lines, low angle first (10 to 90 degrees two-theta):
- 2θ = 19.04°, d = 4.662 Å, I 17.2
- 2θ = 30.32°, d = 2.948 Å, I 37.8
- 2θ = 34.23°, d = 2.620 Å, I 41.9
- 2θ = 36.05°, d = 2.492 Å, I 12.8
- 2θ = 44.16°, d = 2.051 Å, I 100.0
- 2θ = 47.79°, d = 1.903 Å, I 21.8
- 2θ = 53.21°, d = 1.721 Å, I 20.7
- 2θ = 53.86°, d = 1.702 Å, I 26.1
- 2θ = 65.38°, d = 1.427 Å, I 12.9
- 2θ = 89.63°, d = 1.094 Å, I 13.8

Structural model:
a b c (Å): 5.8946 5.8969 11.4205
angles (deg): 89.98 89.97 60.02
Element x y z (fractional)
Fe1 0.0000 0.0000 0.0000
Fe2 0.0004 0.9997 0.2580
Fe3 0.1465 0.9268 0.7580
Fe4 0.1471 0.9266 0.5001
Fe5 0.3947 0.3942 0.5000
Fe6 0.3953 0.3947 0.7579
Fe7 0.4680 0.2481 0.0002
Fe8 0.4682 0.2478 0.2578
Fe9 0.6782 0.6432 0.4998
Fe10 0.6788 0.6421 0.7583
Fe11 0.7521 0.7156 0.0003
Fe12 0.7522 0.7159 0.2579
S1 0.0700 0.6619 0.1291
S2 0.0731 0.3212 0.8790
S3 0.0737 0.3210 0.3789
S4 0.0762 0.6590 0.6290
S5 0.4070 0.6543 0.3536
S6 0.4066 0.6548 0.9044
S7 0.4107 0.9812 0.6292
S8 0.4142 0.9840 0.1290
S9 0.7333 0.3234 0.6287
S10 0.7361 0.3179 0.1290
S11 0.7403 0.9877 0.4049
S12 0.7399 0.9878 0.8531

---

No. 3
Simulated XRD peak list of Fe3S4 for λ = 1.5418 Å (Cu Kα), from the PBE geometry in the Materials Project.
Peak positions follow from Bragg's law for the DFT cell and can differ from measured ones.

Main lines, low angle first (10 to 90 degrees two-theta):
- 2θ = 15.50°, d = 5.719 Å, I 95.2
- 2θ = 31.74°, d = 2.819 Å, I 76.6
- 2θ = 36.55°, d = 2.459 Å, I 92.8
- 2θ = 37.88°, d = 2.375 Å, I 48.4
- 2θ = 43.40°, d = 2.085 Å, I 32.2
- 2θ = 46.88°, d = 1.938 Å, I 89.8
- 2θ = 48.29°, d = 1.885 Å, I 36.7
- 2θ = 49.44°, d = 1.843 Å, I 100.0
- 2θ = 55.74°, d = 1.649 Å, I 45.7
- 2θ = 57.64°, d = 1.599 Å, I 51.7

Structural model:
a b c (Å): 11.6097 11.6097 5.4864
angles (deg): 95.54 95.54 16.33
Element x y z (fractional)
Fe1 0.1300 0.1300 0.2630
Fe2 0.2476 0.2476 0.2022
Fe3 0.3634 0.3634 0.3248
Fe4 0.6366 0.6366 0.6752
Fe5 0.7524 0.7524 0.7978
Fe6 0.8700 0.8700 0.7370
S1 0.0885 0.0885 0.8572
S2 0.2015 0.2015 0.5662
S3 0.3144 0.3144 0.9377
S4 0.4271 0.4271 0.6447
S5 0.5729 0.5729 0.3553
S6 0.6856 0.6856 0.0623
S7 0.7985 0.7985 0.4338
S8 0.9115 0.9115 0.1428

---

No. 4
Simulated XRD peak list of Fe7S8 for λ = 1.5418 Å (Cu Kα), from the PBE geometry in the Materials Project.
Peak positions follow from Bragg's law for the DFT cell and can differ from measured ones.

Main lines, low angle first (10 to 90 degrees two-theta):
- 2θ = 16.40°, d = 5.406 Å, I 10.9
- 2θ = 19.09°, d = 4.649 Å, I 13.7
- 2θ = 31.08°, d = 2.877 Å, I 43.8
- 2θ = 35.57°, d = 2.524 Å, I 53.0
- 2θ = 43.14°, d = 2.097 Å, I 11.0
- 2θ = 46.81°, d = 1.941 Å, I 100.0
- 2θ = 47.76°, d = 1.905 Å, I 13.8
- 2θ = 48.85°, d = 1.864 Å, I 10.0
- 2θ = 55.30°, d = 1.661 Å, I 38.1
- 2θ = 75.30°, d = 1.262 Å, I 12.5

Structural model:
a b c (Å): 6.6448 6.6448 15.7744
angles (deg): 90.00 90.00 120.00
Element x y z (fractional)
Fe1 0.0000 0.9520 0.1453
Fe2 0.0101 0.5417 0.6408
Fe3 0.0125 0.9622 0.6492
Fe4 0.0370 0.4698 0.9827
Fe5 0.0378 0.0503 0.9825
Fe6 0.0480 0.0480 0.4786
Fe7 0.4327 0.9630 0.6494
Fe8 0.4583 0.4684 0.9742
Fe9 0.4750 0.0447 0.4734
Fe10 0.4748 0.4726 0.4881
Fe11 0.4794 0.4725 0.6667
Fe12 0.5274 0.0022 0.8214
Fe13 0.5275 0.0069 0.0000
Fe14 0.5302 0.5673 0.3161
Fe15 0.5316 0.9899 0.3075
Fe16 0.5697 0.5250 0.1400
Fe17 0.9497 0.9875 0.3159
Fe18 0.9520 0.0000 0.8120
Fe19 0.9553 0.4303 0.8067
Fe20 0.9931 0.5206 0.3333
Fe21 0.9978 0.5252 0.1547
S1 0.1595 0.8345 0.5530
S2 0.1613 0.3574 0.2423
S3 0.1644 0.3302 0.5776
S4 0.1655 0.3250 0.8864
S5 0.1658 0.8356 0.2442
S6 0.1960 0.8387 0.9090
S7 0.3139 0.6495 0.7352
S8 0.3172 0.1434 0.7416
S9 0.3336 0.1939 0.3826
S10 0.3356 0.6861 0.4018
S11 0.3505 0.6644 0.0685
S12 0.3526 0.1714 0.0719
S13 0.6426 0.8040 0.5757
S14 0.6453 0.3263 0.5758
S15 0.6698 0.8342 0.9109
S16 0.6737 0.3190 0.9092
S17 0.6750 0.8405 0.2197
S18 0.6810 0.3547 0.2425
S19 0.8061 0.1397 0.7159
S20 0.8188 0.6474 0.7386
S21 0.8262 0.6828 0.4083
S22 0.8286 0.1812 0.4053
S23 0.8566 0.1738 0.0750
S24 0.8603 0.6664 0.0493

---

No. 5
Simulated XRD peak list of Fe7S8 for λ = 1.5418 Å (Cu Kα), from the PBE geometry in the Materials Project.
Peak positions follow from Bragg's law for the DFT cell and can differ from measured ones.

Main lines, low angle first (10 to 90 degrees two-theta):
- 2θ = 31.18°, d = 2.869 Å, I 81.5
- 2θ = 31.92°, d = 2.804 Å, I 50.1
- 2θ = 35.27°, d = 2.545 Å, I 77.9
- 2θ = 36.23°, d = 2.479 Å, I 34.5
- 2θ = 37.37°, d = 2.406 Å, I 59.6
- 2θ = 46.19°, d = 1.965 Å, I 44.1
- 2θ = 46.43°, d = 1.956 Å, I 77.0
- 2θ = 47.96°, d = 1.897 Å, I 100.0
- 2θ = 49.23°, d = 1.851 Å, I 67.3
- 2θ = 56.42°, d = 1.631 Å, I 82.5

Structural model:
a b c (Å): 6.5346 6.5346 11.5293
angles (deg): 111.86 111.86 61.46
Element x y z (fractional)
Fe1 0.0017 0.2096 0.4992
Fe2 0.1719 0.3803 0.7704
Fe3 0.1979 0.8021 0.7500
Fe4 0.2096 0.0017 0.9992
Fe5 0.2177 0.6036 0.0300
Fe6 0.3802 0.1719 0.2704
Fe7 0.3964 0.7823 0.4700
Fe8 0.6036 0.2177 0.5300
Fe9 0.6198 0.8281 0.7296
Fe10 0.7823 0.3964 0.9700
Fe11 0.7904 0.9983 0.0008
Fe12 0.8021 0.1979 0.2500
Fe13 0.8281 0.6198 0.2296
Fe14 0.9983 0.7904 0.5008
S1 0.0512 0.8643 0.3462
S2 0.0777 0.3764 0.3707
S3 0.1267 0.4039 0.1176
S4 0.1357 0.9488 0.1538
S5 0.3764 0.0777 0.8707
S6 0.3916 0.5856 0.8900
S7 0.4039 0.1267 0.6176
S8 0.4144 0.6084 0.6100
S9 0.5856 0.3916 0.3900
S10 0.5961 0.8733 0.3824
S11 0.6084 0.4144 0.1100
S12 0.6236 0.9223 0.1293
S13 0.8643 0.0512 0.8462
S14 0.8733 0.5961 0.8824
S15 0.9223 0.6236 0.6293
S16 0.9488 0.1357 0.6538

---

No. 6
Simulated XRD peak list of FeS for λ = 1.5418 Å (Cu Kα), from the PBE geometry in the Materials Project.
Peak positions follow from Bragg's law for the DFT cell and can differ from measured ones.

Main lines, low angle first (10 to 90 degrees two-theta):
- 2θ = 31.35°, d = 2.853 Å, I 56.0
- 2θ = 32.15°, d = 2.785 Å, I 16.8
- 2θ = 35.94°, d = 2.499 Å, I 32.4
- 2θ = 36.65°, d = 2.452 Å, I 21.1
- 2θ = 46.00°, d = 1.973 Å, I 33.6
- 2θ = 47.43°, d = 1.917 Å, I 100.0
- 2θ = 47.99°, d = 1.896 Å, I 39.3
- 2θ = 55.31°, d = 1.661 Å, I 25.8
- 2θ = 56.81°, d = 1.621 Å, I 27.6
- 2θ = 76.21°, d = 1.249 Å, I 17.9

Structural model:
a b c (Å): 5.1766 3.3220 5.5691
angles (deg): 90.00 90.00 90.00
Element x y z (fractional)
Fe1 0.0157 0.2500 0.2032
Fe2 0.4843 0.7500 0.7032
Fe3 0.5157 0.2500 0.2968
Fe4 0.9843 0.7500 0.7968
S1 0.2153 0.2500 0.5822
S2 0.2847 0.7500 0.0822
S3 0.7153 0.2500 0.9178
S4 0.7847 0.7500 0.4178

---

No. 7
Simulated XRD peak list of Fe3S4 for λ = 1.5418 Å (Cu Kα), from the PBE geometry in the Materials Project.
Peak positions follow from Bragg's law for the DFT cell and can differ from measured ones.

Main lines, low angle first (10 to 90 degrees two-theta):
- 2θ = 14.06°, d = 6.297 Å, I 49.0
- 2θ = 21.16°, d = 4.198 Å, I 71.1
- 2θ = 34.94°, d = 2.568 Å, I 67.3
- 2θ = 35.69°, d = 2.516 Å, I 96.5
- 2θ = 37.60°, d = 2.392 Å, I 57.4
- 2θ = 41.43°, d = 2.180 Å, I 49.2
- 2θ = 42.92°, d = 2.107 Å, I 100.0
- 2θ = 46.19°, d = 1.966 Å, I 55.3
- 2θ = 51.69°, d = 1.768 Å, I 34.6
- 2θ = 60.05°, d = 1.541 Å, I 85.8

Structural model:
a b c (Å): 12.7196 12.7196 12.7196
angles (deg): 13.91 13.91 13.91
Element x y z (fractional)
Fe1 0.0000 0.0000 0.0000
Fe2 0.1814 0.1814 0.1814
Fe3 0.4242 0.4242 0.4242
S1 0.6342 0.6342 0.6342
S2 0.7162 0.7162 0.7162
S3 0.7990 0.7990 0.7990
S4 0.8816 0.8816 0.8816

---

No. 8
Simulated XRD peak list of Fe3S4 for λ = 1.5418 Å (Cu Kα), from the PBE geometry in the Materials Project.
Peak positions follow from Bragg's law for the DFT cell and can differ from measured ones.

Main lines, low angle first (10 to 90 degrees two-theta):
- 2θ = 26.19°, d = 3.402 Å, I 27.5
- 2θ = 26.79°, d = 3.328 Å, I 26.8
- 2θ = 30.72°, d = 2.911 Å, I 44.7
- 2θ = 31.24°, d = 2.864 Å, I 97.6
- 2θ = 31.49°, d = 2.841 Å, I 46.9
- 2θ = 37.81°, d = 2.379 Å, I 100.0
- 2θ = 49.83°, d = 1.830 Å, I 33.9
- 2θ = 50.18°, d = 1.818 Å, I 25.2
- 2θ = 53.89°, d = 1.701 Å, I 86.0
- 2θ = 55.20°, d = 1.664 Å, I 78.4

Structural model:
a b c (Å): 6.8081 6.8081 6.8081
angles (deg): 58.53 58.53 58.53
Element x y z (fractional)
Fe1 0.0000 0.0000 0.0000
Fe2 0.0000 0.0000 0.5000
Fe3 0.0000 0.5000 0.0000
Fe4 0.3732 0.3732 0.3732
Fe5 0.5000 0.0000 0.0000
Fe6 0.6268 0.6268 0.6268
S1 0.2290 0.7598 0.7598
S2 0.2402 0.2402 0.7710
S3 0.2402 0.7710 0.2402
S4 0.2459 0.2459 0.2459
S5 0.7541 0.7541 0.7541
S6 0.7598 0.2290 0.7598
S7 0.7598 0.7598 0.2290
S8 0.7710 0.2402 0.2402

---

No. 9
Simulated XRD peak list of Fe2S for λ = 1.5418 Å (Cu Kα), from the PBE geometry in the Materials Project.
Peak positions follow from Bragg's law for the DFT cell and can differ from measured ones.

Main lines, low angle first (10 to 90 degrees two-theta):
- 2θ = 35.26°, d = 2.545 Å, I 100.0
- 2θ = 35.47°, d = 2.531 Å, I 27.0
- 2θ = 37.23°, d = 2.415 Å, I 22.8
- 2θ = 42.81°, d = 2.113 Å, I 47.5
- 2θ = 43.15°, d = 2.097 Å, I 63.2
- 2θ = 46.78°, d = 1.942 Å, I 98.8
- 2θ = 47.91°, d = 1.899 Å, I 47.3
- 2θ = 57.23°, d = 1.610 Å, I 29.6
- 2θ = 61.78°, d = 1.502 Å, I 31.2
- 2θ = 62.59°, d = 1.484 Å, I 34.4

Structural model:
a b c (Å): 5.1139 5.1139 17.8448
angles (deg): 96.58 96.58 34.15
Element x y z (fractional)
Fe1 0.0000 0.0000 0.0000
Fe2 0.9997 0.9997 0.3876
Fe3 0.1261 0.1261 0.6960
Fe4 0.1474 0.1474 0.2856
Fe5 0.2656 0.2656 0.9686
Fe6 0.2703 0.2703 0.5952
Fe7 0.4145 0.4145 0.8585
Fe8 0.4306 0.4306 0.2587
Fe9 0.4420 0.4420 0.5016
Fe10 0.5666 0.5666 0.1413
Fe11 0.6931 0.6931 0.8278
Fe12 0.7304 0.7304 0.4342
Fe13 0.8404 0.8404 0.7035
Fe14 0.8551 0.8551 0.1175
S1 0.0152 0.0152 0.7949
S2 0.1084 0.1084 0.5030
S3 0.1893 0.1893 0.0807
S4 0.3372 0.3372 0.3716
S5 0.4912 0.4912 0.6316
S6 0.6026 0.6026 0.9374
S7 0.7586 0.7586 0.2255

---

No. 10
Simulated XRD peak list of FeS for λ = 1.5418 Å (Cu Kα), from the PBE geometry in the Materials Project.
Peak positions follow from Bragg's law for the DFT cell and can differ from measured ones.

Main lines, low angle first (10 to 90 degrees two-theta):
- 2θ = 30.30°, d = 2.950 Å, I 47.0
- 2θ = 31.24°, d = 2.864 Å, I 5.3
- 2θ = 34.19°, d = 2.623 Å, I 30.6
- 2θ = 44.07°, d = 2.055 Å, I 100.0
- 2θ = 53.82°, d = 1.703 Å, I 38.7
- 2θ = 57.50°, d = 1.603 Å, I 5.8
- 2θ = 65.16°, d = 1.432 Å, I 6.9
- 2θ = 72.01°, d = 1.311 Å, I 20.5
- 2θ = 73.53°, d = 1.288 Å, I 6.1
- 2θ = 89.40°, d = 1.096 Å, I 17.5

Structural model:
a b c (Å): 3.4066 3.4066 5.7270
angles (deg): 90.00 90.00 120.00
Element x y z (fractional)
Fe1 0.0000 0.0000 0.0000
Fe2 0.0000 0.0000 0.5000
S1 0.3333 0.6667 0.2500
S2 0.6667 0.3333 0.7500

---

No. 11
Simulated XRD peak list of FeS for λ = 1.5418 Å (Cu Kα), from the PBE geometry in the Materials Project.
Peak positions follow from Bragg's law for the DFT cell and can differ from measured ones.

Main lines, low angle first (10 to 90 degrees two-theta):
- 2θ = 22.52°, d = 3.949 Å, I 10.5
- 2θ = 30.67°, d = 2.915 Å, I 48.4
- 2θ = 33.39°, d = 2.684 Å, I 7.1
- 2θ = 35.03°, d = 2.562 Å, I 39.6
- 2θ = 44.44°, d = 2.039 Å, I 23.1
- 2θ = 45.97°, d = 1.974 Å, I 100.0
- 2θ = 49.91°, d = 1.827 Å, I 14.2
- 2θ = 54.52°, d = 1.683 Å, I 35.7
- 2θ = 72.88°, d = 1.298 Å, I 8.4
- 2θ = 74.01°, d = 1.281 Å, I 12.9

Structural model:
a b c (Å): 6.7323 6.7323 5.3671
angles (deg): 90.00 90.00 120.00
Element x y z (fractional)
Fe1 0.0000 0.0000 0.0000
Fe2 0.0000 0.0000 0.5000
Fe3 0.0589 0.5294 0.0387
Fe4 0.4706 0.5294 0.0387
Fe5 0.4706 0.9411 0.0387
Fe6 0.5294 0.0589 0.5387
Fe7 0.5294 0.4706 0.5387
Fe8 0.9411 0.4706 0.5387
S1 0.1655 0.3311 0.7770
S2 0.1655 0.8345 0.7770
S3 0.3311 0.1655 0.2770
S4 0.3333 0.6667 0.3357
S5 0.6667 0.3333 0.8357
S6 0.6689 0.8345 0.7770
S7 0.8345 0.1655 0.2770
S8 0.8345 0.6689 0.2770